# 1
This entry pairs a crystal structure of Be5Pd with its theoretical powder XRD pattern. Radiation: Cu Kα, 1.54184 Å. Structure: a GGA-PBE-relaxed structure.

Atomic structure:
```
6
Lattice="0.000 2.996 2.996 2.996 0.000 2.996 2.996 2.996 0.000" Properties=species:S:1:pos:R:3 pbc="T T T"
Be 0.000 0.000 0.000
Be 3.746 2.246 2.246
Be 2.246 3.746 2.246
Be 2.246 2.246 3.746
Be 3.746 3.746 3.746
Pd 1.498 1.498 1.498
```

Principal peaks in the range 2θ from 10° to 90°, in order of falling intensity:
2θ 25.7, rel. 100
2θ 50.5, rel. 65
2θ 29.8, rel. 55
2θ 42.7, rel. 51
2θ 83.9, rel. 20
2θ 68.2, rel. 19
2θ 70.2, rel. 18
2θ 78.1, rel. 17
2θ 52.9, rel. 15
2θ 61.9, rel. 5

# 2
This entry pairs a crystal structure of BePd2 with its theoretical powder XRD pattern. Radiation: Cu Kα, 1.54184 Å. Structure: a GGA-PBE-relaxed structure.

Atomic structure:
```
3
Lattice="-1.387 1.387 4.965 1.387 -1.387 4.965 1.387 1.387 -4.965" Properties=species:S:1:pos:R:3 pbc="T T T"
Be 0.000 0.000 0.000
Pd 0.000 0.000 3.541
Pd 0.000 0.000 6.388
```

Principal peaks in the range 2θ from 10° to 90°, in order of falling intensity:
2θ 42.5, rel. 100
2θ 33.5, rel. 79
2θ 46.3, rel. 47
2θ 36.2, rel. 34
2θ 60.1, rel. 31
2θ 83.2, rel. 28
2θ 75.2, rel. 19
2θ 67.5, rel. 15
2θ 79.1, rel. 14
2θ 77.6, rel. 13
2θ 17.9, rel. 10
2θ 75.1, rel. 9

# 3
This entry pairs a crystal structure of Be2PdPt with its theoretical powder XRD pattern. Radiation: Cu Kα, 1.54184 Å. Structure: a GGA-PBE-relaxed structure.

Atomic structure:
```
4
Lattice="0.000 2.840 2.840 2.840 0.000 2.840 2.840 2.840 0.000" Properties=species:S:1:pos:R:3 pbc="T T T"
Be 1.420 1.420 1.420
Be 4.261 4.261 4.261
Pd 0.000 0.000 0.000
Pt 2.840 2.840 2.840
```

Principal peaks in the range 2θ from 10° to 90°, in order of falling intensity:
2θ 31.5, rel. 100
2θ 45.1, rel. 87
2θ 74.7, rel. 34
2θ 83.3, rel. 30
2θ 56.1, rel. 26
2θ 27.2, rel. 16
2θ 65.7, rel. 14
2θ 53.5, rel. 8
2θ 72.5, rel. 3
2θ 89.7, rel. 3

# 4
This entry pairs a crystal structure of Be5Pt with its theoretical powder XRD pattern. Radiation: Cu Kα, 1.54184 Å. Structure: a GGA-PBE-relaxed structure.

Atomic structure:
```
6
Lattice="0.000 2.989 2.989 2.989 0.000 2.989 2.989 2.989 0.000" Properties=species:S:1:pos:R:3 pbc="T T T"
Be 0.000 0.000 0.000
Be 2.238 2.238 2.238
Be 3.739 3.739 2.238
Be 3.739 2.238 3.739
Be 2.238 3.739 3.739
Pt 4.483 4.483 4.483
```

Principal peaks in the range 2θ from 10° to 90°, in order of falling intensity:
2θ 25.8, rel. 100
2θ 50.7, rel. 59
2θ 29.9, rel. 54
2θ 42.8, rel. 47
2θ 68.4, rel. 21
2θ 70.5, rel. 19
2θ 84.2, rel. 19
2θ 78.4, rel. 16
2θ 53.1, rel. 15
2θ 62.1, rel. 6

# 5
This entry pairs a crystal structure of Rb2Be4Pt3 with its theoretical powder XRD pattern. Radiation: Cu Kα, 1.54184 Å. Structure: a GGA-PBE-relaxed structure.

Atomic structure:
```
9
Lattice="0.000 5.092 6.449 3.278 0.000 6.449 3.278 5.092 0.000" Properties=species:S:1:pos:R:3 pbc="T T T"
Rb 3.278 5.092 1.952
Rb 3.278 5.092 10.947
Be 3.278 3.288 5.170
Be 3.278 3.288 7.729
Be 3.278 6.897 5.170
Be 3.278 6.897 7.729
Pt 1.639 2.546 0.000
Pt 1.639 2.546 6.449
Pt 3.278 5.092 6.449
```

Principal peaks in the range 2θ from 10° to 90°, in order of falling intensity:
2θ 13.7, rel. 100
2θ 32.5, rel. 50
2θ 26.3, rel. 41
2θ 35.4, rel. 39
2θ 54.1, rel. 24
2θ 35.2, rel. 21
2θ 36.4, rel. 18
2θ 43.2, rel. 18
2θ 38.0, rel. 16
2θ 22.2, rel. 16
2θ 27.7, rel. 12
2θ 56.0, rel. 12

# 6
This entry pairs a crystal structure of PuBe13 with its theoretical powder XRD pattern. Radiation: Cu Kα, 1.54184 Å. Structure: a GGA-PBE-relaxed structure.

Atomic structure:
```
28
Lattice="0.000 5.103 5.103 5.103 0.000 5.103 5.103 5.103 0.000" Properties=species:S:1:pos:R:3 pbc="T T T"
Pu 2.552 2.552 2.552
Pu 7.655 7.655 7.655
Be 0.000 0.000 0.000
Be 5.103 3.933 1.797
Be 8.409 5.103 3.933
Be 6.273 1.797 5.103
Be 6.273 5.103 3.306
Be 5.103 3.306 3.933
Be 6.900 3.933 5.103
Be 5.103 6.273 1.797
Be 3.933 1.797 5.103
Be 8.409 5.103 6.273
Be 3.933 5.103 3.306
Be 6.900 6.273 5.103
Be 5.103 3.306 6.273
Be 5.103 5.103 5.103
Be 5.103 6.900 3.933
Be 3.306 3.933 5.103
Be 6.273 5.103 6.900
Be 1.797 5.103 3.933
Be 6.273 8.409 5.103
Be 5.103 3.933 8.409
Be 3.306 6.273 5.103
Be 5.103 6.900 6.273
Be 3.933 5.103 6.900
Be 3.933 8.409 5.103
Be 1.797 5.103 6.273
Be 5.103 6.273 8.409
```

Principal peaks in the range 2θ from 10° to 90°, in order of falling intensity:
2θ 24.7, rel. 100
2θ 17.4, rel. 97
2θ 39.5, rel. 69
2θ 43.4, rel. 57
2θ 30.3, rel. 43
2θ 68.8, rel. 28
2θ 53.9, rel. 26
2θ 57.1, rel. 25
2θ 35.2, rel. 22
2θ 77.1, rel. 20
2θ 60.1, rel. 18
2θ 66.0, rel. 16